Ca3Fe2N4: simulated XRD peak list (Cu Kα), based on a DFT-relaxed cell (GGA-PBE, the Materials Project).
Kinematic intensities with the Lorentz-polarization factor, no thermal factor.

The 10 most intense peaks (10° ≤ 2θ ≤ 80°), in order of rising 2θ:
d/Å, intensity, hkl
5.124, 47, 0 1 1
4.387, 100, 1 1 0
3.755, 67, 1 0 1
3.027, 40, 1 2 1
2.959, 54, 0 0 2
2.790, 58, 1 3 0
2.562, 38, 0 2 2
2.454, 65, 1 1 2
2.429, 87, 2 0 0
1.933, 45, 0 5 1

Structure:
```
data_Ca3Fe2N4
_space_group_name_H-M_alt 'I m m 2'
_space_group_IT_number 44
_cell_length_a 4.8575
_cell_length_b 10.2240
_cell_length_c 5.9210
_cell_angle_alpha 90.00
_cell_angle_beta 90.00
_cell_angle_gamma 90.00
loop_
_space_group_symop_operation_xyz
'x,y,z'
'-x,-y,z'
'-x,y,z'
'x,-y,z'
'x+1/2,y+1/2,z+1/2'
'-x+1/2,-y+1/2,z+1/2'
'-x+1/2,y+1/2,z+1/2'
'x+1/2,-y+1/2,z+1/2'
loop_
_atom_site_label
_atom_site_type_symbol
_atom_site_fract_x
_atom_site_fract_y
_atom_site_fract_z
Ca1 Ca 0.0000 0.0000 0.0000
Ca2 Ca 0.0000 0.3086 0.2767
Fe1 Fe 0.0000 0.3857 0.8016
N1 N 0.0000 0.2201 0.8498
N2 N 0.0000 0.5000 0.0221
N3 N 0.0000 0.5000 0.5663
```